Entry 1:
# AcNd5Y5
Computed PXRD pattern, copper Kα. Input: a GGA-PBE-relaxed structure.
Intensities are scaled so that the largest is 100.

Structural model:
```
AcNd5Y5
1.0
6.2398 0.0000 0.0000
-3.1199 5.4038 0.0000
0.0000 0.0000 11.9396
Ac Nd Y
1 5 5
direct
0.0000 0.0000 0.0000
0.0000 0.0000 0.3263
0.0000 0.0000 0.6737
0.3333 0.6667 0.1577
0.3333 0.6667 0.8423
0.6667 0.3333 0.0000
0.5008 0.0016 0.5000
0.5008 0.4992 0.5000
0.6667 0.3333 0.2628
0.6667 0.3333 0.7372
0.9984 0.4992 0.5000
```

Main lines, sorted by position (10 to 80 degrees two-theta):
2theta  I/Imax
27.8  100.0
28.6  85.4
29.6  31.8
34.3  19.8
36.6  34.8
40.3  15.8
50.2  39.9
50.7  17.6
59.2  19.9
66.7  16.9



Entry 2:
# CaDyAl6
Computed PXRD pattern, copper Kα. Input: a GGA-PBE-relaxed structure.
Intensities are scaled so that the largest is 100.

Structural model:
```
CaDyAl6
1.0
4.4480 0.0000 0.0000
0.0000 5.9805 0.0000
0.0000 0.0000 6.1340
Ca Dy Al
1 1 6
direct
0.0000 0.0000 0.0000
0.5000 0.5000 0.2105
0.0000 0.2528 0.4669
0.0000 0.5000 0.8554
0.0000 0.7472 0.4669
0.5000 0.0000 0.3647
0.5000 0.2563 0.7405
0.5000 0.7437 0.7405
```

Main lines, sorted by position (10 to 80 degrees two-theta):
2theta  I/Imax
14.4  45.8
14.8  50.4
20.7  43.1
24.9  47.8
28.9  91.2
32.8  43.9
33.3  59.1
35.6  78.4
39.2  100.0
40.6  39.4



Entry 3:
# Tb7NdDy3
Computed PXRD pattern, copper Kα. Input: a GGA-PBE-relaxed structure.
Intensities are scaled so that the largest is 100.

Structural model:
```
Tb7NdDy3
1.0
7.0811 0.0000 0.0000
-3.5406 6.1324 0.0000
0.0000 0.0000 8.6187
Tb Nd Dy
7 1 3
direct
0.0000 0.0000 0.0000
0.1654 0.3307 0.3299
0.1654 0.8346 0.3299
0.5011 0.0023 0.9952
0.5011 0.4989 0.9952
0.6693 0.8346 0.3299
0.9977 0.4989 0.9952
0.6667 0.3333 0.3252
0.3324 0.1662 0.6641
0.8338 0.1662 0.6641
0.8338 0.6676 0.6641
```

Main lines, sorted by position (10 to 80 degrees two-theta):
2theta  I/Imax
31.0  100.0
31.1  32.6
35.9  67.2
51.6  23.8
51.9  23.6
61.4  14.2
61.5  28.1
61.7  14.0
64.5  12.3
76.2  7.6



Entry 4:
# Ti6NbNi5
Computed PXRD pattern, copper Kα. Input: a GGA-PBE-relaxed structure.
Intensities are scaled so that the largest is 100.

Structural model:
```
Ti6NbNi5
1.0
4.3078 0.0000 0.0000
0.0000 6.1761 0.0000
-2.1086 0.0000 6.4096
Ti Nb Ni
6 1 5
direct
0.0000 0.2430 0.0000
0.0000 0.7570 0.0000
0.3315 0.2459 0.6614
0.3315 0.7541 0.6614
0.6685 0.2459 0.3386
0.6685 0.7541 0.3386
0.5000 0.5000 0.0000
0.1628 0.0000 0.3324
0.1686 0.5000 0.3432
0.5000 0.0000 0.0000
0.8314 0.5000 0.6568
0.8372 0.0000 0.6676
```

Main lines, sorted by position (10 to 80 degrees two-theta):
2theta  I/Imax
41.7  100.0
41.8  98.7
41.9  49.1
42.3  47.5
59.9  15.8
60.9  14.9
61.3  14.4
75.8  14.9
76.1  14.5
76.3  14.6



Entry 5:
# Sr3TmIn12
Computed PXRD pattern, copper Kα. Input: a GGA-PBE-relaxed structure.
Intensities are scaled so that the largest is 100.

Structural model:
```
Sr3TmIn12
1.0
4.8181 0.0000 0.0000
0.0000 4.8181 0.0000
0.0000 0.0000 19.0446
Sr Tm In
3 1 12
direct
0.0000 0.0000 0.0000
0.0000 0.0000 0.2567
0.0000 0.0000 0.7433
0.0000 0.0000 0.5000
0.0000 0.5000 0.1278
0.0000 0.5000 0.3834
0.0000 0.5000 0.6166
0.0000 0.5000 0.8722
0.5000 0.0000 0.1278
0.5000 0.0000 0.3834
0.5000 0.0000 0.6166
0.5000 0.0000 0.8722
0.5000 0.5000 0.0000
0.5000 0.5000 0.2522
0.5000 0.5000 0.5000
0.5000 0.5000 0.7478
```

Main lines, sorted by position (10 to 80 degrees two-theta):
2theta  I/Imax
32.3  100.0
35.3  1.3
37.3  34.2
37.8  15.5
53.8  11.6
54.2  21.3
64.2  26.5
64.8  11.3
67.6  10.8
79.6  3.6